The following is a theoretical powder diffraction line list of NaVF6. It was derived from a DFT-relaxed cell (PBE+U, Alexandria), using λ = 1.5418 Å (Cu Kα).

```
NaVF6
1.0
9.6559 0.0000 0.0000
0.0000 5.9598 0.0000
0.0000 0.0000 7.9864
Na V F
4 4 24
direct
0.0074 0.2500 0.1762
0.4926 0.7500 0.6762
0.5074 0.2500 0.3238
0.9926 0.7500 0.8238
0.2310 0.2500 0.6155
0.2690 0.7500 0.1155
0.7310 0.2500 0.8845
0.7690 0.7500 0.3845
0.1112 0.0307 0.6723
0.1112 0.4693 0.6723
0.1398 0.5389 0.0503
0.1398 0.9611 0.0503
0.1645 0.2500 0.4017
0.1959 0.7500 0.3202
0.3041 0.2500 0.8202
0.3355 0.7500 0.9017
0.3602 0.0389 0.5503
0.3602 0.4611 0.5503
0.3888 0.5307 0.1723
0.3888 0.9693 0.1723
0.6112 0.0307 0.8277
0.6112 0.4693 0.8277
0.6398 0.5389 0.4497
0.6398 0.9611 0.4497
0.6645 0.2500 0.0983
0.6959 0.7500 0.1798
0.8041 0.2500 0.6798
0.8355 0.7500 0.5983
0.8602 0.0389 0.9497
0.8602 0.4611 0.9497
0.8888 0.5307 0.3277
0.8888 0.9693 0.3277
```

Peak list (10 most intense, 2θ = 5–70°, in order of rising 2θ)
2θ (°)	intensity	index
18.38	32	2 0 0
18.58	19	0 1 1
20.75	100	1 1 1
24.12	44	1 0 2
26.25	77	2 1 1
42.88	22	3 2 1
44.15	19	3 0 3
47.40	18	3 2 2
48.53	27	4 2 0
60.77	12	1 1 5